No. 1
For Ba6Nd2YCu12O24, DFT lattice parameters and positions (GGA-PBE) gives the computed powder diffraction line list in this record (CuKα).
No peak broadening, texture or thermal motion is included.

```
45
Lattice="11.7387 0.0000 0.0000 0.0000 3.9198 0.0000 -1.9433 0.0000 13.8221" Properties=species:S:1:pos:R:3 pbc="T T T"
Ba 0.0053 0.0000 3.7647
Ba 1.9653 0.0000 10.0412
Ba 3.9132 0.0000 3.7788
Ba 5.8822 0.0000 10.0433
Ba 7.8301 0.0000 3.7809
Ba 9.7901 0.0000 10.0573
Nd 3.8975 0.0000 0.0015
Nd 5.8978 0.0000 13.8206
Y 0.0000 0.0000 0.0000
Cu 0.0052 1.9599 7.9496
Cu -0.0089 1.9599 12.0676
Cu 1.9347 1.9599 1.7541
Cu 1.9589 1.9599 5.8727
Cu 3.9198 1.9599 7.9455
Cu 3.9260 1.9599 12.0497
Cu 5.8694 1.9599 1.7723
Cu 5.8756 1.9599 5.8766
Cu 7.8365 1.9599 7.9494
Cu 7.8606 1.9599 12.0680
Cu 9.8043 1.9599 1.7545
Cu 9.7902 1.9599 5.8724
O -0.0040 1.9599 1.4345
O 0.0058 1.9599 6.0566
O -0.0008 1.9599 9.7961
O -0.0482 0.0000 12.3356
O 1.8964 0.0000 1.4870
O 1.9609 1.9599 4.0264
O 1.9625 1.9599 7.7643
O 1.9566 1.9599 12.2954
O 3.9035 1.9599 1.5247
O 3.9182 1.9599 6.0543
O 3.9170 1.9599 9.7886
O 3.9264 0.0000 12.2924
O 5.8689 0.0000 1.5297
O 5.8784 1.9599 4.0334
O 5.8772 1.9599 7.7677
O 5.8918 1.9599 12.2974
O 7.8387 1.9599 1.5267
O 7.8329 1.9599 6.0577
O 7.8344 1.9599 9.7956
O 7.8990 0.0000 12.3351
O 9.8436 0.0000 1.4864
O 9.7962 1.9599 4.0260
O 9.7896 1.9599 7.7655
O 9.7993 1.9599 12.3876
```

Principal peaks in the range 10° ≤ 2θ ≤ 90°, by intensity:
32.2 deg, d 2.780, intensity 1000
32.5 deg, d 2.756, intensity 965
46.4 deg, d 1.958, intensity 651
34.6 deg, d 2.592, intensity 634
29.9 deg, d 2.986, intensity 441
57.5 deg, d 1.602, intensity 381
60.3 deg, d 1.534, intensity 295
59.2 deg, d 1.562, intensity 262
46.0 deg, d 1.975, intensity 231
67.3 deg, d 1.391, intensity 207
26.1 deg, d 3.410, intensity 198
67.7 deg, d 1.385, intensity 193



No. 2
For Na4AsHO5, DFT lattice parameters and positions (GGA-PBE) gives the computed powder diffraction line list in this record (CuKα).
No peak broadening, texture or thermal motion is included.

```
44
Lattice="9.1127 0.0000 0.0000 0.0000 7.5277 0.0000 0.0000 0.0000 8.3915" Properties=species:S:1:pos:R:3 pbc="T T T"
Na 0.0000 0.0000 0.0000
Na 0.0000 3.7638 0.0000
Na 1.1787 0.1015 2.9167
Na 1.1787 3.6623 2.9167
Na 1.1837 5.6458 6.1633
Na 3.3727 1.8819 1.9675
Na 3.3777 3.8653 7.1125
Na 3.3777 7.4262 7.1125
Na 4.5564 0.0000 4.1958
Na 4.5564 3.7638 4.1958
Na 5.7350 0.1015 1.2790
Na 5.7350 3.6623 1.2790
Na 5.7400 5.6458 6.4240
Na 7.9291 1.8819 2.2283
Na 7.9341 3.8653 5.4748
Na 7.9341 7.4262 5.4748
As 1.2531 1.8819 5.4553
As 3.3032 5.6458 1.2595
As 5.8095 1.8819 7.1320
As 7.8596 5.6458 2.9362
H 1.4356 1.8819 0.4275
H 3.1207 5.6458 4.6232
H 5.9920 1.8819 3.7683
H 7.6771 5.6458 7.9640
O 0.1555 5.6458 3.9631
O 1.0309 1.8819 1.3128
O 1.1890 0.4695 6.4393
O 1.1890 3.2944 6.4393
O 1.9147 5.6458 0.2384
O 2.6417 1.8819 4.4342
O 3.3673 4.2333 2.2436
O 3.3673 7.0582 2.2436
O 3.5254 5.6458 5.5085
O 4.4008 1.8819 8.1588
O 4.7119 5.6458 0.2327
O 5.5873 1.8819 2.8830
O 5.7454 0.4695 6.1479
O 5.7454 3.2944 6.1479
O 6.4711 5.6458 3.9574
O 7.1980 1.8819 8.1531
O 7.9237 4.2333 1.9522
O 7.9237 7.0582 1.9522
O 8.0818 5.6458 7.0787
O 8.9572 1.8819 4.4284
```

Principal peaks in the range 10° ≤ 2θ ≤ 90°, by intensity:
33.5 deg, d 2.677, intensity 1000
22.8 deg, d 3.898, intensity 503
32.7 deg, d 2.742, intensity 495
18.6 deg, d 4.773, intensity 464
26.2 deg, d 3.400, intensity 395
22.2 deg, d 4.004, intensity 377
15.8 deg, d 5.603, intensity 307
44.0 deg, d 2.059, intensity 297
45.3 deg, d 2.002, intensity 271
39.6 deg, d 2.278, intensity 262
48.4 deg, d 1.882, intensity 259
14.3 deg, d 6.173, intensity 197



No. 3
For Cu2GeTe3, DFT lattice parameters and positions (GGA-PBE) gives the computed powder diffraction line list in this record (CuKα).
No peak broadening, texture or thermal motion is included.

```
12
Lattice="4.3520 0.0000 0.0000 0.0000 12.7624 0.0000 0.0000 0.0000 5.9521" Properties=species:S:1:pos:R:3 pbc="T T T"
Cu 0.0000 2.1393 0.0000
Cu 0.0000 10.6230 0.0000
Cu 2.1760 4.2419 2.9761
Cu 2.1760 8.5205 2.9761
Ge 0.0000 6.3812 0.1421
Ge 2.1760 0.0000 3.1181
Te 0.0000 0.0000 1.4494
Te 0.0000 4.1695 1.6051
Te 0.0000 8.5928 1.6051
Te 2.1760 2.2117 4.5812
Te 2.1760 6.3812 4.4255
Te 2.1760 10.5507 4.5812
```

Principal peaks in the range 10° ≤ 2θ ≤ 90°, by intensity:
42.5 deg, d 2.127, intensity 1000
25.4 deg, d 3.513, intensity 872
25.7 deg, d 3.461, intensity 856
49.5 deg, d 1.842, intensity 282
50.1 deg, d 1.820, intensity 258
41.5 deg, d 2.176, intensity 226
77.8 deg, d 1.228, intensity 182
76.4 deg, d 1.247, intensity 135
60.9 deg, d 1.521, intensity 134
50.6 deg, d 1.805, intensity 130
50.8 deg, d 1.798, intensity 119
68.1 deg, d 1.376, intensity 101



No. 4
For Cs2KNdBr6, DFT lattice parameters and positions (GGA-PBE) gives the computed powder diffraction line list in this record (CuKα).
No peak broadening, texture or thermal motion is included.

```
10
Lattice="0.0000 6.0653 6.0653 6.0653 0.0000 6.0653 6.0653 6.0653 0.0000" Properties=species:S:1:pos:R:3 pbc="T T T"
Cs 3.0327 3.0327 3.0327
Cs 9.0980 9.0980 9.0980
K 0.0000 0.0000 0.0000
Nd 6.0653 6.0653 6.0653
Br 6.0653 6.0653 3.1761
Br 6.0653 3.1761 6.0653
Br 8.9546 6.0653 6.0653
Br 3.1761 6.0653 6.0653
Br 6.0653 8.9546 6.0653
Br 6.0653 6.0653 8.9546
```

Principal peaks in the range 10° ≤ 2θ ≤ 90°, by intensity:
29.5 deg, d 3.033, intensity 1000
42.1 deg, d 2.144, intensity 725
25.4 deg, d 3.502, intensity 711
20.7 deg, d 4.289, intensity 445
69.3 deg, d 1.356, intensity 311
49.9 deg, d 1.829, intensity 310
52.2 deg, d 1.751, intensity 251
77.0 deg, d 1.238, intensity 228
12.6 deg, d 7.004, intensity 212
36.3 deg, d 2.476, intensity 200
67.3 deg, d 1.391, intensity 120
56.8 deg, d 1.621, intensity 119



No. 5
For Tm3B3O7, DFT lattice parameters and positions (GGA-PBE) gives the computed powder diffraction line list in this record (CuKα).
No peak broadening, texture or thermal motion is included.

```
26
Lattice="24.9069 0.0000 0.0000 0.0000 1.8428 3.4857 0.0000 -1.8428 3.4857" Properties=species:S:1:pos:R:3 pbc="T T T"
Tm 2.0432 0.0000 0.0000
Tm 6.1195 0.0000 6.9345
Tm 10.4180 0.0000 6.8935
Tm 14.4889 0.0000 6.8935
Tm 18.7874 0.0000 6.9345
Tm 22.8637 0.0000 0.0000
B 0.0000 0.0000 1.6754
B 4.0911 0.0000 5.2747
B 8.2658 0.0000 2.5043
B 12.4535 0.0000 5.2057
B 16.6412 0.0000 2.5043
B 20.8158 0.0000 5.2747
O 1.2033 0.0000 2.3740
O 2.8734 0.0000 4.6027
O 5.2791 0.0000 4.5397
O 6.9495 0.0000 2.2341
O 8.2690 0.0000 6.7822
O 9.5814 0.0000 2.2140
O 11.2504 0.0000 4.4975
O 13.6565 0.0000 4.4975
O 15.3255 0.0000 2.2140
O 16.6379 0.0000 6.7822
O 17.9574 0.0000 2.2341
O 19.6278 0.0000 4.5397
O 22.0335 0.0000 4.6027
O 23.7036 0.0000 2.3740
```

Principal peaks in the range 10° ≤ 2θ ≤ 90°, by intensity:
35.0 deg, d 2.563, intensity 1000
21.4 deg, d 4.151, intensity 911
27.4 deg, d 3.258, intensity 897
33.6 deg, d 2.669, intensity 590
25.6 deg, d 3.486, intensity 511
52.3 deg, d 1.751, intensity 417
51.4 deg, d 1.777, intensity 389
46.2 deg, d 1.966, intensity 381
61.1 deg, d 1.517, intensity 216
51.2 deg, d 1.783, intensity 208
49.5 deg, d 1.843, intensity 166
54.5 deg, d 1.684, intensity 154



No. 6
For Co21Sn2B6, DFT lattice parameters and positions (GGA-PBE) gives the computed powder diffraction line list in this record (CuKα).
No peak broadening, texture or thermal motion is included.

```
29
Lattice="0.0000 5.2869 5.2869 5.2869 0.0000 5.2869 5.2869 5.2869 0.0000" Properties=species:S:1:pos:R:3 pbc="T T T"
Co 0.0000 0.0000 0.0000
Co 1.7703 1.7703 0.0000
Co 3.5166 3.5166 0.0000
Co 1.7703 0.0000 1.7703
Co 5.2869 3.5166 1.7703
Co 3.5166 0.0000 3.5166
Co 5.2869 1.7703 3.5166
Co 6.4993 4.0746 4.0746
Co 0.0000 1.7703 1.7703
Co 3.5166 5.2869 1.7703
Co 3.5166 1.7703 5.2869
Co 4.0746 4.0746 4.0746
Co 6.4993 6.4993 4.0746
Co 6.4993 4.0746 6.4993
Co 4.0746 6.4993 4.0746
Co 4.0746 4.0746 6.4993
Co 6.4993 6.4993 6.4993
Co 0.0000 3.5166 3.5166
Co 1.7703 5.2869 3.5166
Co 1.7703 3.5166 5.2869
Co 4.0746 6.4993 6.4993
Sn 2.6435 2.6435 2.6435
Sn 7.9304 7.9304 7.9304
B 5.2869 5.2869 2.9180
B 5.2869 2.9180 5.2869
B 7.6559 5.2869 5.2869
B 2.9180 5.2869 5.2869
B 5.2869 7.6559 5.2869
B 5.2869 5.2869 7.6559
```

Principal peaks in the range 10° ≤ 2θ ≤ 90°, by intensity:
44.5 deg, d 2.035, intensity 1000
38.1 deg, d 2.364, intensity 539
41.9 deg, d 2.158, intensity 519
76.4 deg, d 1.246, intensity 320
48.7 deg, d 1.869, intensity 293
51.1 deg, d 1.787, intensity 254
73.9 deg, d 1.282, intensity 162
57.8 deg, d 1.594, intensity 150
78.3 deg, d 1.221, intensity 116
54.9 deg, d 1.672, intensity 80
83.2 deg, d 1.161, intensity 67
71.4 deg, d 1.322, intensity 64



No. 7
For LiAl2H4Pb2O4F6, DFT lattice parameters and positions (GGA-PBE) gives the computed powder diffraction line list in this record (CuKα).
No peak broadening, texture or thermal motion is included.

```
19
Lattice="4.8236 0.0000 0.0000 -0.1873 7.2153 0.0000 -1.4682 -2.7344 6.8105" Properties=species:S:1:pos:R:3 pbc="T T T"
Li 0.0000 0.0000 0.0000
Al 0.9025 3.1781 4.9000
Al 1.6995 1.4445 2.6190
H -0.4807 2.7878 2.7058
H -0.2881 0.0057 2.9800
H 2.8639 4.6330 4.4651
H 3.0762 1.8264 4.8344
Pb 0.9936 -0.3922 5.5388
Pb 1.6524 5.1207 1.9884
O 0.4298 2.8150 3.0916
O 0.6732 -0.0649 3.2181
O 1.8936 4.7089 4.3030
O 2.1631 1.8072 4.4599
F -0.4775 4.3713 5.2424
F -0.2137 1.9007 5.6221
F 0.9956 1.2032 0.9594
F 1.6497 3.4465 6.5455
F 2.8230 2.7401 1.9595
F 3.0307 0.2138 2.3759
```

Principal peaks in the range 10° ≤ 2θ ≤ 90°, by intensity:
18.9 deg, d 4.703, intensity 1000
14.7 deg, d 6.028, intensity 415
26.2 deg, d 3.405, intensity 406
21.8 deg, d 4.075, intensity 287
22.8 deg, d 3.902, intensity 282
31.1 deg, d 2.875, intensity 281
33.7 deg, d 2.661, intensity 279
26.6 deg, d 3.348, intensity 259
25.2 deg, d 3.540, intensity 257
28.8 deg, d 3.102, intensity 251
26.0 deg, d 3.431, intensity 208
31.7 deg, d 2.819, intensity 192